# RbBeAg
Simulated powder XRD pattern, Cu Kα X-rays. Input: the GGA-PBE geometry in Alexandria.

Most intense lines, 15° ≤ 2θ ≤ 90°, by angle:
(hkl)	2θ/deg	d_spacing	I (rel.)
0 0 3	24.64	3.613	32
0 1 2	25.15	3.541	100
1 0 1	25.36	3.513	73
1 0 -2	25.52	3.491	72
1 1 -1	29.66	3.012	64
0 1 3	31.28	2.859	84
0 2 0	38.49	2.339	33
0 0 5	41.71	2.165	41
1 2 -2	46.70	1.945	63
1 1 4	48.05	1.893	30

Atomic structure:
```
data_RbBeAg
_symmetry_space_group_name_H-M 'P 1'
_symmetry_Int_Tables_number 1
_cell_length_a 4.0032
_cell_length_b 4.6775
_cell_length_c 11.0093
_cell_angle_alpha 90.00
_cell_angle_beta 100.06
_cell_angle_gamma 90.00
loop_
_symmetry_equiv_pos_as_xyz
'x,y,z'
loop_
_atom_site_label
_atom_site_type_symbol
_atom_site_fract_x
_atom_site_fract_y
_atom_site_fract_z
_atom_site_occupancy
Rb1 Rb 0.1431 0.0000 0.2973 1
Rb2 Rb 0.8569 0.5000 0.7027 1
Be1 Be 0.0001 0.2549 0.0003 1
Be2 Be 0.9999 0.7549 0.9997 1
Ag1 Ag 0.4670 0.0039 0.9310 1
Ag2 Ag 0.5330 0.5039 0.0690 1
```